# 1
CaDySn2: theoretical powder XRD pattern (Cu Kα, 1.54184 Å), based on the GGA-PBE geometry in Alexandria.

Peak list (8 most intense, 2θ = 5–70°, by angle)
d/Å, I/Imax
5.763, 27
4.303, 26
3.041, 100
2.881, 32
2.437, 89
2.392, 20
2.322, 28
2.147, 22

Crystal structure
a = 4.2934 Å, b = 4.6449 Å, c = 11.5252 Å
α = 90.00°, β = 90.00°, γ = 90.00°
Atoms (fractional coordinates):
Ca: 0.0000 0.0000 0.0000
Ca: 0.0000 0.5000 0.5000
Dy: 0.5000 0.0000 0.2692
Dy: 0.5000 0.5000 0.7692
Sn: 0.0000 0.0000 0.7268
Sn: 0.0000 0.5000 0.2268
Sn: 0.5000 0.0000 0.5468
Sn: 0.5000 0.5000 0.0468


# 2
Ce3SmY2Sb6: theoretical powder XRD pattern (Cu Kα, 1.54184 Å), based on the GGA-PBE geometry in Alexandria.

Peak list (6 most intense, 2θ = 5–70°, by angle)
d/Å, I/Imax
3.804, 1
3.153, 100
2.230, 76
1.821, 27
1.577, 13
1.410, 34

Crystal structure
a = 7.7259 Å, b = 7.7259 Å, c = 7.7213 Å
α = 99.61°, β = 99.61°, γ = 119.99°
Atoms (fractional coordinates):
Ce: 0.0000 0.0000 0.0000
Ce: 0.3345 0.6655 0.0000
Ce: 0.6655 0.3345 0.0000
Sm: 0.5000 0.5000 0.5000
Y: 0.1671 0.8329 0.5000
Y: 0.8329 0.1671 0.5000
Sb: 0.0817 0.4177 0.2535
Sb: 0.2453 0.2453 0.7450
Sb: 0.4177 0.0817 0.2535
Sb: 0.5823 0.9183 0.7465
Sb: 0.7547 0.7547 0.2550
Sb: 0.9183 0.5823 0.7465


# 3
SrPuAg2Br8: theoretical powder XRD pattern (Cu Kα, 1.54184 Å), based on the GGA-PBE geometry in Alexandria.

Peak list (8 most intense, 2θ = 5–70°, by angle)
d/Å, I/Imax
6.396, 80
5.504, 100
4.418, 61
3.437, 51
3.102, 54
3.088, 50
2.137, 53
2.073, 51

Crystal structure
a = 7.0387 Å, b = 7.4000 Å, c = 8.9767 Å
α = 72.81°, β = 89.72°, γ = 78.03°
Atoms (fractional coordinates):
Sr: 0.0000 0.0000 0.0000
Pu: 0.0000 0.0000 0.5000
Ag: 0.4709 0.3409 0.1841
Ag: 0.5291 0.6591 0.8159
Br: 0.0997 0.2432 0.2138
Br: 0.1243 0.2111 0.6744
Br: 0.3637 0.7637 0.5301
Br: 0.4049 0.7411 0.0753
Br: 0.5951 0.2589 0.9247
Br: 0.6363 0.2363 0.4699
Br: 0.8757 0.7889 0.3256
Br: 0.9003 0.7568 0.7862


# 4
ZnCu2Pt2: theoretical powder XRD pattern (Cu Kα, 1.54184 Å), based on the GGA-PBE geometry in Alexandria.

Peak list (8 most intense, 2θ = 5–70°, by angle)
d/Å, I/Imax
3.931, 52
2.331, 36
2.270, 51
2.264, 52
2.183, 100
2.162, 77
1.995, 78
1.377, 43

Crystal structure
a = 2.7542 Å, b = 4.5558 Å, c = 12.0321 Å
α = 93.83°, β = 96.53°, γ = 107.37°
Atoms (fractional coordinates):
Zn: 0.1429 0.0617 0.2129
Zn: 0.8571 0.9383 0.7871
Cu: 0.2862 0.9803 0.5955
Cu: 0.3416 0.5775 0.1008
Cu: 0.6584 0.4225 0.8992
Cu: 0.7138 0.0197 0.4045
Pt: 0.0000 0.0000 0.0000
Pt: 0.0765 0.4573 0.7019
Pt: 0.5000 0.5000 0.5000
Pt: 0.9235 0.5427 0.2981